Starting from a crystal structure in Alexandria, relaxed with PBE, the X-ray diffraction stick pattern of Tb3Tm5Th2 was simulated for copper Kα.
Intensities are scaled so that the largest is 100.

Largest 6 diffraction maxima, low angle first, 2θ = 15–90°:
2theta, Rel. int.
30.23, 79
31.34, 100
32.60, 22
33.90, 42
37.34, 21
65.11, 22

Structural model:
```
data_Tb3Tm5Th2
_space_group_name_H-M_alt 'P 1'
_space_group_IT_number 1
_cell_length_a 9.6870
_cell_length_b 9.6870
_cell_length_c 9.1443
_cell_angle_alpha 108.40
_cell_angle_beta 108.40
_cell_angle_gamma 113.81
loop_
_space_group_symop_operation_xyz
'x,y,z'
loop_
_atom_site_label
_atom_site_type_symbol
_atom_site_fract_x
_atom_site_fract_y
_atom_site_fract_z
Tb1 Tb 0.0264 0.9736 0.7500
Tb2 Tb 0.2270 0.4810 0.4535
Tb3 Tb 0.4810 0.2270 0.9535
Tb4 Tb 0.5190 0.7730 0.0465
Tb5 Tb 0.7730 0.5190 0.5465
Tb6 Tb 0.9736 0.0264 0.2500
Tm1 Tm 0.1171 0.3806 0.7437
Tm2 Tm 0.2222 0.7778 0.7500
Tm3 Tm 0.2792 0.7208 0.2500
Tm4 Tm 0.3806 0.1171 0.2437
Tm5 Tm 0.4756 0.5244 0.2500
Tm6 Tm 0.5244 0.4756 0.7500
Tm7 Tm 0.6194 0.8829 0.7563
Tm8 Tm 0.7208 0.2792 0.7500
Tm9 Tm 0.7778 0.2222 0.2500
Tm10 Tm 0.8829 0.6194 0.2563
Th1 Th 0.0183 0.2708 0.0351
Th2 Th 0.2708 0.0183 0.5351
Th3 Th 0.7292 0.9817 0.4649
Th4 Th 0.9817 0.7292 0.9649
```